Structure and calculated powder XRD pattern of SmYNi2B2C2 (a PBE-relaxed structure; Cu Ka).
Lines closer than 0.1° are merged.

Peak list (10 most intense, 15 to 90 degrees two-theta, in order of rising 2θ)
2θ/deg	d_spacing	intensity
27.23	3.275	1000
34.25	2.618	714
35.70	2.515	548
36.95	2.433	909
42.56	2.124	692
50.20	1.817	462
58.04	1.589	263
60.92	1.521	221
62.18	1.493	255
63.11	1.473	392

Atomic structure:
abc: 3.6349 3.6349 7.5461
angles: 90.00 90.00 90.00
Sites, in units of the cell vectors:
Sm: 0.0000 0.0000 0.0000
Y: 0.5000 0.5000 0.3376
Ni: 0.0000 0.5000 0.6686
Ni: 0.5000 0.0000 0.6686
B: 0.0000 0.0000 0.5284
B: 0.5000 0.5000 0.8137
C: 0.0000 0.0000 0.3307
C: 0.5000 0.5000 0.0120

=====

Structure and calculated powder XRD pattern of NdHoZn2Pb2 (a PBE-relaxed structure; Cu Ka).
Lines closer than 0.1° are merged.

Peak list (10 most intense, 15 to 90 degrees two-theta, in order of rising 2θ)
2θ/deg	d_spacing	intensity
27.73	3.217	447
31.47	2.843	1000
38.78	2.322	737
45.47	1.995	268
50.77	1.798	300
60.97	1.520	151
61.26	1.513	119
65.66	1.422	261
70.20	1.341	136
74.91	1.268	116

Atomic structure:
abc: 4.6444 4.6444 16.0774
angles: 90.00 90.00 120.00
Sites, in units of the cell vectors:
Nd: 0.0000 0.0000 0.2500
Nd: 0.0000 0.0000 0.7500
Ho: 0.0000 0.0000 0.0000
Ho: 0.0000 0.0000 0.5000
Zn: 0.3333 0.6667 0.1607
Zn: 0.3333 0.6667 0.3393
Zn: 0.6667 0.3333 0.6607
Zn: 0.6667 0.3333 0.8393
Pb: 0.3333 0.6667 0.6069
Pb: 0.3333 0.6667 0.8931
Pb: 0.6667 0.3333 0.1069
Pb: 0.6667 0.3333 0.3931

=====

Structure and calculated powder XRD pattern of BeInHg2 (a PBE-relaxed structure; Cu Ka).
Lines closer than 0.1° are merged.

Peak list (10 most intense, 15 to 90 degrees two-theta, in order of rising 2θ)
2θ/deg	d_spacing	intensity
21.80	4.077	369
35.97	2.497	1000
42.46	2.129	209
51.79	1.765	177
56.83	1.620	91
64.67	1.441	365
69.12	1.359	69
76.28	1.248	115
80.46	1.194	70
87.33	1.117	170

Atomic structure:
abc: 4.9932 4.9932 4.9932
angles: 60.00 60.00 60.00
Sites, in units of the cell vectors:
Be: 0.0000 0.0000 0.0000
In: 0.7500 0.7500 0.7500
Hg: 0.2500 0.2500 0.2500
Hg: 0.5000 0.5000 0.5000

=====

Structure and calculated powder XRD pattern of DyErGe2Os (a PBE-relaxed structure; Cu Ka).
Lines closer than 0.1° are merged.

Peak list (10 most intense, 15 to 90 degrees two-theta, in order of rising 2θ)
2θ/deg	d_spacing	intensity
27.28	3.270	201
32.76	2.734	235
33.30	2.691	1000
33.49	2.676	222
34.19	2.623	221
36.82	2.441	556
40.43	2.231	720
42.10	2.146	443
59.85	1.545	257
64.59	1.443	207

Atomic structure:
abc: 5.7767 5.7767 10.0918
angles: 115.84 115.84 43.62
Sites, in units of the cell vectors:
Dy: 0.1843 0.1843 0.1150
Dy: 0.8157 0.8157 0.8850
Er: 0.0038 0.0038 0.6744
Er: 0.9962 0.9962 0.3256
Ge: 0.3583 0.3583 0.4388
Ge: 0.4870 0.4870 0.1249
Ge: 0.5130 0.5130 0.8751
Ge: 0.6417 0.6417 0.5612
Os: 0.2702 0.2702 0.6319
Os: 0.7298 0.7298 0.3681

=====

Structure and calculated powder XRD pattern of RbInRe (a PBE-relaxed structure; Cu Ka).
Lines closer than 0.1° are merged.

Peak list (10 most intense, 15 to 90 degrees two-theta, in order of rising 2θ)
2θ/deg	d_spacing	intensity
21.07	4.216	359
24.38	3.651	193
34.75	2.582	1000
41.00	2.202	196
49.96	1.825	177
54.80	1.675	84
56.35	1.633	81
62.29	1.490	364
73.35	1.291	113
83.79	1.155	161

Atomic structure:
abc: 5.1631 5.1631 5.1631
angles: 60.00 60.00 60.00
Sites, in units of the cell vectors:
Rb: 0.0000 0.0000 0.0000
In: 0.2500 0.2500 0.2500
Re: 0.5000 0.5000 0.5000

=====

Structure and calculated powder XRD pattern of KSm2CuS6 (a PBE-relaxed structure; Cu Ka).
Lines closer than 0.1° are merged.

Peak list (10 most intense, 15 to 90 degrees two-theta, in order of rising 2θ)
2θ/deg	d_spacing	intensity
20.66	4.299	795
27.43	3.252	309
28.71	3.110	629
30.36	2.944	1000
33.17	2.701	341
34.26	2.618	326
37.51	2.398	762
42.04	2.149	363
43.95	2.060	599
44.50	2.036	331

Atomic structure:
abc: 21.9750 21.6866 6.7642
angles: 83.51 78.68 17.81
Sites, in units of the cell vectors:
K: 0.1243 0.6257 0.1243
K: 0.3743 0.8757 0.3743
K: 0.6257 0.1243 0.6257
K: 0.8757 0.3743 0.8757
Sm: 0.0332 0.0332 0.2168
Sm: 0.2168 0.2168 0.0332
Sm: 0.2849 0.2849 0.4651
Sm: 0.4651 0.4651 0.2849
Sm: 0.5349 0.5349 0.7151
Sm: 0.7151 0.7151 0.5349
Sm: 0.7832 0.7832 0.9668
Sm: 0.9668 0.9668 0.7832
Cu: 0.2097 0.2097 0.5403
Cu: 0.4597 0.4597 0.7903
Cu: 0.5403 0.5403 0.2097
Cu: 0.7903 0.7903 0.4597
S: 0.0062 0.5190 0.2425
S: 0.0157 0.3247 0.4285
S: 0.0740 0.7799 0.4809
S: 0.1653 0.4809 0.7799
S: 0.2201 0.9260 0.8347
S: 0.2425 0.7323 0.0062
S: 0.2677 0.7575 0.4810
S: 0.2689 0.5715 0.6753
S: 0.3247 0.0157 0.7311
S: 0.4285 0.7311 0.0157
S: 0.4809 0.1653 0.0740
S: 0.4810 0.9938 0.2677
S: 0.5190 0.0062 0.7323
S: 0.5191 0.8347 0.9260
S: 0.5715 0.2689 0.9843
S: 0.6753 0.9843 0.2689
S: 0.7311 0.4285 0.3247
S: 0.7323 0.2425 0.5190
S: 0.7575 0.2677 0.9938
S: 0.7799 0.0740 0.1653
S: 0.8347 0.5191 0.2201
S: 0.9260 0.2201 0.5191
S: 0.9843 0.6753 0.5715
S: 0.9938 0.4810 0.7575

=====

Structure and calculated powder XRD pattern of Sr2TaIrN4O2 (a PBE-relaxed structure; Cu Ka).
Lines closer than 0.1° are merged.

Peak list (10 most intense, 15 to 90 degrees two-theta, in order of rising 2θ)
2θ/deg	d_spacing	intensity
22.01	4.039	212
22.34	3.980	443
31.50	2.840	1000
31.62	2.830	963
31.79	2.814	992
44.88	2.020	260
45.58	1.990	530
56.37	1.632	201
56.52	1.628	383
75.53	1.259	246

Atomic structure:
abc: 5.6319 5.6259 8.0782
angles: 90.00 90.29 90.00
Sites, in units of the cell vectors:
Sr: 0.2449 0.9997 0.0004
Sr: 0.2449 0.0000 0.4995
Sr: 0.7551 0.4997 0.9996
Sr: 0.7551 0.5000 0.5005
Ta: 0.2540 0.5048 0.2530
Ta: 0.7460 0.0048 0.7470
Ir: 0.2608 0.4892 0.7699
Ir: 0.7392 0.9892 0.2301
N: 0.0120 0.2541 0.7404
N: 0.2319 0.4955 0.0019
N: 0.4832 0.7466 0.7587
N: 0.4969 0.7551 0.2373
N: 0.5031 0.2551 0.7627
N: 0.5168 0.2466 0.2413
N: 0.7681 0.9955 0.9981
N: 0.9880 0.7541 0.2596
O: 0.0066 0.2417 0.2621
O: 0.2717 0.4940 0.5010
O: 0.7283 0.9940 0.4990
O: 0.9934 0.7417 0.7379

=====

Structure and calculated powder XRD pattern of Sr2NiAgP2 (a PBE-relaxed structure; Cu Ka).
Lines closer than 0.1° are merged.

Peak list (10 most intense, 15 to 90 degrees two-theta, in order of rising 2θ)
2θ/deg	d_spacing	intensity
26.70	3.339	206
32.10	2.788	1000
39.64	2.273	67
41.12	2.195	155
43.42	2.084	414
55.01	1.669	206
61.34	1.511	273
69.29	1.356	90
72.55	1.303	178
79.68	1.203	67

Atomic structure:
abc: 4.1685 4.1685 8.7801
angles: 90.00 90.00 120.00
Sites, in units of the cell vectors:
Sr: 0.0000 0.0000 0.2374
Sr: 0.0000 0.0000 0.7626
Ni: 0.3333 0.6667 0.0000
Ag: 0.6667 0.3333 0.5000
P: 0.3333 0.6667 0.5000
P: 0.6667 0.3333 0.0000

=====

Structure and calculated powder XRD pattern of LiScNiTe3 (a PBE-relaxed structure; Cu Ka).
Lines closer than 0.1° are merged.

Peak list (10 most intense, 15 to 90 degrees two-theta, in order of rising 2θ)
2θ/deg	d_spacing	intensity
24.14	3.687	331
25.11	3.547	626
29.26	3.052	1000
30.48	2.933	589
34.25	2.618	729
42.34	2.135	467
45.77	1.982	252
46.30	1.961	266
47.13	1.928	257
55.72	1.650	323

Atomic structure:
abc: 7.6306 7.6306 10.0594
angles: 90.00 90.00 150.22
Sites, in units of the cell vectors:
Li: 0.2321 0.7679 0.7500
Li: 0.7679 0.2321 0.2500
Sc: 0.0000 0.0000 0.0000
Sc: 0.0000 0.0000 0.5000
Ni: 0.4883 0.5117 0.2500
Ni: 0.5117 0.4883 0.7500
Te: 0.0998 0.9002 0.2500
Te: 0.3637 0.6363 0.0792
Te: 0.3637 0.6363 0.4208
Te: 0.6363 0.3637 0.5792
Te: 0.6363 0.3637 0.9208
Te: 0.9002 0.0998 0.7500

=====

Structure and calculated powder XRD pattern of K2ZnC4N4 (a PBE-relaxed structure; Cu Ka).
Lines closer than 0.1° are merged.

Peak list (10 most intense, 15 to 90 degrees two-theta, in order of rising 2θ)
2θ/deg	d_spacing	intensity
20.48	4.336	411
20.98	4.234	395
23.99	3.710	376
24.42	3.645	1000
24.63	3.615	276
28.16	3.169	286
35.55	2.525	173
36.77	2.444	284
41.66	2.168	336
42.71	2.117	179

Atomic structure:
abc: 15.1462 15.1462 15.1462
angles: 32.47 32.47 32.47
Sites, in units of the cell vectors:
K: 0.0000 0.0000 0.0000
K: 0.1680 0.7500 0.3320
K: 0.2500 0.6680 0.8320
K: 0.3320 0.1680 0.7500
K: 0.5000 0.5000 0.5000
K: 0.6680 0.8320 0.2500
K: 0.7500 0.3320 0.1680
K: 0.8320 0.2500 0.6680
Zn: 0.1852 0.1852 0.1852
Zn: 0.3148 0.3148 0.3148
Zn: 0.6852 0.6852 0.6852
Zn: 0.8148 0.8148 0.8148
C: 0.0472 0.6234 0.7263
C: 0.1234 0.5472 0.2263
C: 0.1391 0.1391 0.1391
C: 0.2263 0.1234 0.5472
C: 0.2737 0.9528 0.3766
C: 0.3609 0.3609 0.3609
C: 0.3766 0.2737 0.9528
C: 0.4528 0.7737 0.8766
C: 0.5472 0.2263 0.1234
C: 0.6234 0.7263 0.0472
C: 0.6391 0.6391 0.6391
C: 0.7263 0.0472 0.6234
C: 0.7737 0.8766 0.4528
C: 0.8609 0.8609 0.8609
C: 0.8766 0.4528 0.7737
C: 0.9528 0.3766 0.2737
N: 0.0138 0.6845 0.1701
N: 0.1118 0.1118 0.1118
N: 0.1701 0.0138 0.6845
N: 0.1845 0.5138 0.6701
N: 0.3155 0.8299 0.9862
N: 0.3299 0.8155 0.4862
N: 0.3882 0.3882 0.3882
N: 0.4862 0.3299 0.8155
N: 0.5138 0.6701 0.1845
N: 0.6118 0.6118 0.6118
N: 0.6701 0.1845 0.5138
N: 0.6845 0.1701 0.0138
N: 0.8155 0.4862 0.3299
N: 0.8299 0.9862 0.3155
N: 0.8882 0.8882 0.8882
N: 0.9862 0.3155 0.8299

=====

Structure and calculated powder XRD pattern of Te2Pd3Cl2O6 (a PBE-relaxed structure; Cu Ka).
Lines closer than 0.1° are merged.

Peak list (10 most intense, 15 to 90 degrees two-theta, in order of rising 2θ)
2θ/deg	d_spacing	intensity
19.64	4.519	237
25.98	3.430	1000
27.81	3.208	854
31.80	2.814	341
34.90	2.571	457
36.60	2.455	746
38.42	2.343	454
53.91	1.701	171
54.30	1.690	242
55.12	1.666	265

Atomic structure:
abc: 5.7041 5.7041 7.9770
angles: 104.70 104.70 68.44
Sites, in units of the cell vectors:
Te: 0.1772 0.1772 0.2171
Te: 0.8228 0.8228 0.7829
Pd: 0.0000 0.0000 0.5000
Pd: 0.3781 0.3781 0.6427
Pd: 0.6219 0.6219 0.3573
Cl: 0.3138 0.3138 0.9007
Cl: 0.6862 0.6862 0.0993
O: 0.1070 0.7232 0.6583
O: 0.2768 0.8930 0.3417
O: 0.3696 0.3696 0.3768
O: 0.6304 0.6304 0.6232
O: 0.7232 0.1070 0.6583
O: 0.8930 0.2768 0.3417

=====

Structure and calculated powder XRD pattern of Tb3Mg3InPtAu (a PBE-relaxed structure; Cu Ka).
Lines closer than 0.1° are merged.

Peak list (10 most intense, 15 to 90 degrees two-theta, in order of rising 2θ)
2θ/deg	d_spacing	intensity
22.75	3.908	504
25.88	3.443	228
26.33	3.385	200
32.02	2.795	584
34.72	2.583	1000
39.95	2.257	399
41.92	2.155	494
45.36	1.999	204
62.02	1.496	219
64.35	1.448	308

Atomic structure:
abc: 7.8170 7.8170 3.9984
angles: 90.00 90.00 120.00
Sites, in units of the cell vectors:
Tb: 0.0904 0.3637 0.0000
Tb: 0.2733 0.9096 0.0000
Tb: 0.6363 0.7267 0.0000
Mg: 0.4189 0.3322 0.5000
Mg: 0.6678 0.0867 0.5000
Mg: 0.9133 0.5811 0.5000
In: 0.0000 0.0000 0.5000
Pt: 0.3333 0.6667 0.5000
Au: 0.6667 0.3333 0.0000